Calculated PXRD pattern of Sm2ErHg5 for CuKα, from a crystal structure in Alexandria, relaxed with PBE.
Kinematic intensities with the Lorentz-polarization factor, no thermal factor.

Crystal structure
```
data_Sm2ErHg5
_cell_length_a 5.207
_cell_length_b 5.207
_cell_length_c 14.930
_cell_angle_alpha 90.00
_cell_angle_beta 90.00
_cell_angle_gamma 90.00
_space_group_name_H-M_alt 'P 1'
_space_group_IT_number 1
_space_group_name_Hall 'P 1'
loop_
_atom_site_label
_atom_site_type_symbol
_atom_site_fract_x
_atom_site_fract_y
_atom_site_fract_z
_atom_site_occupancy
Sm1 Sm 0.000 0.000 0.236 1
Sm2 Sm 0.000 0.000 0.764 1
Sm3 Sm 0.500 0.500 0.264 1
Sm4 Sm 0.500 0.500 0.736 1
Er1 Er 0.000 0.000 0.500 1
Er2 Er 0.500 0.500 0.000 1
Hg1 Hg 0.000 0.000 0.000 1
Hg2 Hg 0.000 0.500 0.119 1
Hg3 Hg 0.000 0.500 0.381 1
Hg4 Hg 0.000 0.500 0.619 1
Hg5 Hg 0.000 0.500 0.881 1
Hg6 Hg 0.500 0.000 0.119 1
Hg7 Hg 0.500 0.000 0.381 1
Hg8 Hg 0.500 0.000 0.619 1
Hg9 Hg 0.500 0.000 0.881 1
Hg10 Hg 0.500 0.500 0.500 1
```

Most intense lines, 2θ = 10–80°, by angle:
2θ = 34.21°, d = 2.621 Å, I = 100, (1 1 4)
2θ = 34.45°, d = 2.604 Å, I = 51, (2 0 0)
2θ = 49.51°, d = 1.841 Å, I = 19, (2 2 0)
2θ = 61.09°, d = 1.517 Å, I = 17, (2 0 8)
2θ = 61.55°, d = 1.507 Å, I = 37, (3 1 4)
2θ = 72.06°, d = 1.311 Å, I = 11, (2 2 8)